[1]
Simulated powder diffractogram of Al5Tc for a wavelength of 1.5418 Å, from a PBE-relaxed structure.
Neutral-atom scattering factors, no anomalous dispersion.

Main lines, most intense first (5° ≤ 2θ ≤ 70°):
- 2θ 13.86, I = 100
- 2θ 19.75, I = 74
- 2θ 41.78, I = 59
- 2θ 31.91, I = 59
- 2θ 40.41, I = 58
- 2θ 29.46, I = 50
- 2θ 43.27, I = 40
- 2θ 42.45, I = 34
- 2θ 45.90, I = 29
- 2θ 48.83, I = 26

Atomic structure:
```
data_Al5Tc
_space_group_name_H-M_alt 'C m c m'
_space_group_IT_number 63
_space_group_name_Hall '-C 2c 2'
_cell_length_a 3.300
_cell_length_b 9.602
_cell_length_c 12.776
_cell_angle_alpha 90.00
_cell_angle_beta 90.00
_cell_angle_gamma 90.00
loop_
_atom_site_label
_atom_site_type_symbol
_atom_site_fract_x
_atom_site_fract_y
_atom_site_fract_z
Al1 Al 0.000 0.063 0.111
Al2 Al 0.000 0.213 0.577
Al3 Al 0.000 0.377 0.250
Tc1 Tc 0.000 0.343 0.750
```

[2]
Simulated powder diffractogram of Ce3Te2P for a wavelength of 1.5418 Å, from a PBE-relaxed structure.
Neutral-atom scattering factors, no anomalous dispersion.

Main lines, most intense first (5° ≤ 2θ ≤ 70°):
- 2θ 28.96, I = 100
- 2θ 41.72, I = 36
- 2θ 41.11, I = 35
- 2θ 51.59, I = 18
- 2θ 68.43, I = 14
- 2θ 67.56, I = 13
- 2θ 60.01, I = 11
- 2θ 31.55, I = 7
- 2θ 57.22, I = 6
- 2θ 50.55, I = 6

Atomic structure:
```
data_Ce3Te2P
_space_group_name_H-M_alt 'C 1 2/m 1'
_space_group_IT_number 12
_cell_length_a 7.501
_cell_length_b 12.985
_cell_length_c 7.644
_cell_angle_alpha 90.00
_cell_angle_beta 109.12
_cell_angle_gamma 90.00
loop_
_space_group_symop_operation_xyz
'x,y,z'
'-x,-y,-z'
'-x,y,-z'
'x,-y,z'
'x+1/2,y+1/2,z'
'-x+1/2,-y+1/2,-z'
'-x+1/2,y+1/2,-z'
'x+1/2,-y+1/2,z'
loop_
_atom_site_label
_atom_site_type_symbol
_atom_site_fract_x
_atom_site_fract_y
_atom_site_fract_z
Ce1 Ce 0.218 0.000 0.218
Ce2 Ce 0.247 0.177 0.775
Te1 Te 0.000 0.000 0.500
Te2 Te 0.000 0.342 0.500
Te3 Te 0.000 0.500 0.000
P1 P 0.000 0.168 0.000
```

[3]
Simulated powder diffractogram of CsNbCl5 for a wavelength of 1.5418 Å, from a PBE-relaxed structure.
Neutral-atom scattering factors, no anomalous dispersion.

Main lines, most intense first (5° ≤ 2θ ≤ 70°):
- 2θ 13.74, I = 100
- 2θ 21.27, I = 52
- 2θ 25.41, I = 51
- 2θ 27.01, I = 48
- 2θ 36.39, I = 44
- 2θ 52.20, I = 29
- 2θ 30.19, I = 25
- 2θ 36.11, I = 24
- 2θ 42.07, I = 23
- 2θ 45.66, I = 22

Atomic structure:
```
data_CsNbCl5
_space_group_name_H-M_alt 'I m m m'
_space_group_IT_number 71
_space_group_name_Hall '-I 2 2'
_cell_length_a 4.975
_cell_length_b 7.689
_cell_length_c 12.886
_cell_angle_alpha 90.00
_cell_angle_beta 90.00
_cell_angle_gamma 90.00
loop_
_atom_site_label
_atom_site_type_symbol
_atom_site_fract_x
_atom_site_fract_y
_atom_site_fract_z
Cs1 Cs 0.000 0.000 0.000
Nb1 Nb 0.000 0.000 0.500
Cl1 Cl 0.000 0.223 0.369
Cl2 Cl 0.000 0.500 0.000
```

[4]
Simulated powder diffractogram of Pr12Ge5S28 for a wavelength of 1.5418 Å, from a PBE-relaxed structure.
Neutral-atom scattering factors, no anomalous dispersion.

Main lines, most intense first (5° ≤ 2θ ≤ 70°):
- 2θ 25.13, I = 100
- 2θ 35.00, I = 35
- 2θ 36.48, I = 34
- 2θ 20.00, I = 32
- 2θ 36.64, I = 31
- 2θ 39.67, I = 31
- 2θ 23.01, I = 30
- 2θ 40.79, I = 24
- 2θ 49.53, I = 20
- 2θ 26.56, I = 19

Atomic structure:
```
data_Pr12Ge5S28
_space_group_name_H-M_alt 'P 1'
_space_group_IT_number 1
_cell_length_a 10.256
_cell_length_b 11.768
_cell_length_c 11.815
_cell_angle_alpha 60.19
_cell_angle_beta 64.28
_cell_angle_gamma 89.99
loop_
_space_group_symop_operation_xyz
'x,y,z'
loop_
_atom_site_label
_atom_site_type_symbol
_atom_site_fract_x
_atom_site_fract_y
_atom_site_fract_z
Pr1 Pr 0.000 0.000 0.000
Pr2 Pr 0.000 0.469 0.020
Pr3 Pr 0.098 0.286 0.431
Pr4 Pr 0.110 0.772 0.412
Pr5 Pr 0.217 0.405 0.659
Pr6 Pr 0.240 0.925 0.644
Pr7 Pr 0.510 0.525 0.911
Pr8 Pr 0.526 0.049 0.902
Pr9 Pr 0.645 0.676 0.146
Pr10 Pr 0.649 0.169 0.125
Pr11 Pr 0.739 0.971 0.550
Pr12 Pr 0.751 0.457 0.556
Ge1 Ge 0.207 0.727 0.105
Ge2 Ge 0.209 0.219 0.118
Ge3 Ge 0.540 0.807 0.449
Ge4 Ge 0.541 0.311 0.444
Ge5 Ge 0.876 0.708 0.780
S1 S 0.018 0.933 0.550
S2 S 0.047 0.481 0.510
S3 S 0.112 0.637 0.697
S4 S 0.136 0.140 0.683
S5 S 0.207 0.035 0.114
S6 S 0.208 0.537 0.110
S7 S 0.284 0.410 0.889
S8 S 0.292 0.920 0.879
S9 S 0.349 0.253 0.208
S10 S 0.364 0.768 0.176
S11 S 0.392 0.923 0.368
S12 S 0.397 0.432 0.360
S13 S 0.457 0.770 0.678
S14 S 0.458 0.274 0.672
S15 S 0.534 0.614 0.461
S16 S 0.547 0.129 0.433
S17 S 0.608 0.296 0.874
S18 S 0.646 0.777 0.866
S19 S 0.706 0.961 0.041
S20 S 0.720 0.477 0.019
S21 S 0.769 0.956 0.304
S22 S 0.770 0.461 0.298
S23 S 0.780 0.176 0.612
S24 S 0.790 0.673 0.625
S25 S 0.962 0.748 0.924
S26 S 0.966 0.256 0.953
S27 S 0.977 0.733 0.247
S28 S 0.983 0.220 0.273
```

[5]
Simulated powder diffractogram of LaPmMgCu for a wavelength of 1.5418 Å, from a PBE-relaxed structure.
Neutral-atom scattering factors, no anomalous dispersion.

Main lines, most intense first (5° ≤ 2θ ≤ 70°):
- 2θ 33.62, I = 100
- 2θ 60.12, I = 37
- 2θ 23.60, I = 30
- 2θ 48.28, I = 18
- 2θ 54.42, I = 13
- 2θ 41.49, I = 9
- 2θ 20.40, I = 3
- 2θ 39.64, I = 2
- 2θ 52.93, I = 1
- 2θ 64.18, I = 1

Atomic structure:
```
data_LaPmMgCu
_space_group_name_H-M_alt 'F -4 3 m'
_space_group_IT_number 216
_space_group_name_Hall 'F -4 2 3'
_cell_length_a 7.540
_cell_length_b 7.540
_cell_length_c 7.540
_cell_angle_alpha 90.00
_cell_angle_beta 90.00
_cell_angle_gamma 90.00
loop_
_atom_site_label
_atom_site_type_symbol
_atom_site_fract_x
_atom_site_fract_y
_atom_site_fract_z
La1 La 0.000 0.000 0.000
Pm1 Pm 0.000 0.000 0.500
Mg1 Mg 0.250 0.250 0.750
Cu1 Cu 0.250 0.250 0.250
```